Structure and calculated powder diffraction line list of Tb3Pm4Sc2 (a DFT-relaxed cell (GGA-PBE, Alexandria); Cu Kα).

Cell and atoms:
abc: 6.581 6.581 14.004
angles: 114.58 114.58 31.76
Positions (direct):
Tb 0.000 0.000 0.000
Tb 0.010 0.010 0.387
Tb 0.990 0.990 0.613
Pm 0.218 0.218 0.871
Pm 0.279 0.279 0.385
Pm 0.721 0.721 0.615
Pm 0.782 0.782 0.129
Sc 0.452 0.452 0.792
Sc 0.548 0.548 0.208

Most intense lines, 15° ≤ 2θ ≤ 90°, in order of rising 2θ:
25.94 deg, I = 32; 28.27 deg, I = 41; 29.24 deg, I = 25; 31.23 deg, I = 100; 31.37 deg, I = 90; 31.93 deg, I = 50; 32.94 deg, I = 51; 34.58 deg, I = 39; 58.35 deg, I = 23; 60.81 deg, I = 29